For Cs2LaCCl6, a crystal structure in Alexandria, relaxed with PBE gives the simulated powder diffraction line list in this record (Cu Kα (weighted mean of Kα1 and Kα2)).
Intensities are scaled so that the largest is 100.

Cell and atoms:
Unit cell a=8.1222 b=8.1222 c=8.1222 alpha=126.70 beta=126.70 gamma=78.75
Fractional positions:
Cs 0.2500 0.7500 0.5000
Cs 0.7500 0.2500 0.5000
La 0.0000 0.0000 0.0000
C 0.5000 0.5000 0.0000
Cl 0.2201 0.2201 0.0000
Cl 0.2699 0.2699 0.5397
Cl 0.2699 0.7301 0.0000
Cl 0.7301 0.2699 0.0000
Cl 0.7301 0.7301 0.4603
Cl 0.7799 0.7799 0.0000

Main lines, by angle (2θ from 10° to 80°):
2θ 14.05, intensity 35
2θ 22.32, intensity 100
2θ 24.44, intensity 42
2θ 28.31, intensity 73
2θ 28.43, intensity 44
2θ 34.83, intensity 58
2θ 37.84, intensity 29
2θ 41.76, intensity 37
2θ 45.54, intensity 46
2θ 58.57, intensity 29

For Rb3Li2ScCl8, a crystal structure in Alexandria, relaxed with PBE gives the simulated powder diffraction line list in this record (Cu Kα (weighted mean of Kα1 and Kα2)).
Intensities are scaled so that the largest is 100.

Cell and atoms:
Unit cell a=7.1993 b=7.1993 c=9.3486 alpha=90.00 beta=90.00 gamma=120.00
Fractional positions:
Rb 0.0000 0.0000 0.0000
Rb 0.3333 0.6667 0.6470
Rb 0.6667 0.3333 0.3530
Li 0.3333 0.6667 0.2134
Li 0.6667 0.3333 0.7866
Sc 0.0000 0.0000 0.5000
Cl 0.1618 0.3237 0.3422
Cl 0.1618 0.8382 0.3422
Cl 0.3237 0.1618 0.6578
Cl 0.3333 0.6667 0.9770
Cl 0.6667 0.3333 0.0230
Cl 0.6763 0.8382 0.3422
Cl 0.8382 0.1618 0.6578
Cl 0.8382 0.6763 0.6578

Main lines, by angle (2θ from 10° to 80°):
2θ 17.09, intensity 23
2θ 23.79, intensity 34
2θ 24.73, intensity 93
2θ 28.64, intensity 56
2θ 30.22, intensity 100
2θ 31.37, intensity 30
2θ 34.58, intensity 90
2θ 48.69, intensity 34
2θ 50.72, intensity 42
2θ 59.29, intensity 38